Record 1
# AcCo2Ge3
Calculated XRD peak list, Cu Kα (λ = 1.5418 Å). Input: a crystal structure in Alexandria, relaxed with GGA-PBE.

```
24
Lattice="0.000 6.230 6.230 6.230 0.000 6.230 6.230 6.230 0.000" Properties=species:S:1:pos:R:3 pbc="T T T"
Ac 0.000 0.000 0.000
Ac 3.115 3.115 0.000
Ac 3.115 0.000 3.115
Ac 0.000 3.115 3.115
Co 3.164 3.164 3.164
Co 6.182 6.182 3.164
Co 6.182 3.164 6.182
Co 9.297 6.279 6.279
Co 3.164 6.182 6.182
Co 6.279 9.297 6.279
Co 6.279 6.279 9.297
Co 9.297 9.297 9.297
Ge 4.673 4.673 2.313
Ge 4.673 2.313 4.673
Ge 7.033 4.673 4.673
Ge 7.788 7.788 5.428
Ge 7.788 5.428 7.788
Ge 10.148 7.788 7.788
Ge 2.313 4.673 4.673
Ge 4.673 7.033 4.673
Ge 4.673 4.673 7.033
Ge 5.428 7.788 7.788
Ge 7.788 10.148 7.788
Ge 7.788 7.788 10.148
```

Principal peaks in the range 2θ from 10° to 90°, low angle first:
two_theta	intensity
23.68	48.0
28.66	25.8
31.29	87.1
35.29	18.7
37.50	51.0
40.97	100.0
50.76	21.7
60.85	21.6
64.80	19.8
67.20	28.6

***

Record 2
# Ac2CoGe3
Calculated XRD peak list, Cu Kα (λ = 1.5418 Å). Input: a crystal structure in Alexandria, relaxed with GGA-PBE.

```
12
Lattice="0.000 4.559 7.424 4.305 0.000 7.424 4.305 4.559 0.000" Properties=species:S:1:pos:R:3 pbc="T T T"
Ac 2.152 2.280 3.712
Ac 4.305 2.284 7.424
Ac 4.305 6.834 7.424
Ac 6.457 6.839 11.135
Co 4.305 4.559 2.465
Co 4.305 4.559 12.382
Ge 6.562 4.559 6.127
Ge 4.305 4.559 4.824
Ge 6.562 4.559 8.720
Ge 2.047 4.559 6.127
Ge 4.305 4.559 10.023
Ge 2.047 4.559 8.720
```

Principal peaks in the range 2θ from 10° to 90°, low angle first:
two_theta	intensity
23.92	24.2
31.03	100.0
39.53	13.6
41.98	11.3
42.12	22.3
46.73	9.6
53.13	14.8
59.02	8.3
59.14	16.4
66.43	8.8

***

Record 3
# Ac2CoGe
Calculated XRD peak list, Cu Kα (λ = 1.5418 Å). Input: a crystal structure in Alexandria, relaxed with GGA-PBE.

```
4
Lattice="3.672 -2.118 0.000 3.672 2.118 0.000 -0.019 0.000 8.048" Properties=species:S:1:pos:R:3 pbc="T T T"
Ac 0.000 0.000 0.000
Ac 4.893 0.000 4.295
Co 0.001 0.000 2.654
Ge 2.446 0.000 2.137
```

Principal peaks in the range 2θ from 10° to 90°, low angle first:
two_theta	intensity
22.09	18.8
24.25	15.8
26.70	100.0
33.04	37.9
41.70	39.2
42.68	35.8
48.56	15.1
51.05	17.7
63.84	10.1
68.66	13.3

***

Record 4
# Ac2Co5Ge4
Calculated XRD peak list, Cu Kα (λ = 1.5418 Å). Input: a crystal structure in Alexandria, relaxed with GGA-PBE.

```
11
Lattice="0.000 4.965 6.915 2.796 0.000 6.915 2.796 4.965 0.000" Properties=species:S:1:pos:R:3 pbc="T T T"
Ac 2.796 4.965 1.867
Ac 2.796 4.965 11.963
Co 1.398 2.483 0.000
Co 1.398 2.483 3.458
Co 1.398 2.483 6.915
Co 2.796 4.965 6.915
Co 4.194 7.448 10.373
Ge 2.796 3.340 5.158
Ge 2.796 3.340 8.672
Ge 2.796 6.591 5.158
Ge 2.796 6.591 8.672
```

Principal peaks in the range 2θ from 10° to 90°, low angle first:
two_theta	intensity
25.77	26.0
26.62	54.7
31.53	41.1
32.06	94.9
36.89	45.1
37.10	100.0
41.54	72.7
45.72	28.1
56.70	24.3
65.54	24.2

***

Record 5
# AcCo2Ge4
Calculated XRD peak list, Cu Kα (λ = 1.5418 Å). Input: a crystal structure in Alexandria, relaxed with GGA-PBE.

```
28
Lattice="19.455 0.000 0.000 0.000 4.030 0.000 0.000 0.000 6.600" Properties=species:S:1:pos:R:3 pbc="T T T"
Ac 2.687 1.008 0.213
Ac 7.040 3.023 3.513
Ac 12.415 1.008 3.087
Ac 16.768 3.023 6.388
Co 0.557 3.023 4.877
Co 3.852 1.008 3.411
Co 5.876 3.023 0.111
Co 9.170 1.008 1.577
Co 10.285 3.023 5.023
Co 13.579 1.008 6.489
Co 15.604 3.023 3.189
Co 18.898 1.008 1.723
Ge 0.443 3.023 0.887
Ge 1.202 1.008 3.406
Ge 2.889 3.023 4.261
Ge 4.344 3.023 2.008
Ge 5.384 1.008 5.308
Ge 6.838 1.008 0.961
Ge 8.525 3.023 0.106
Ge 9.285 1.008 4.187
Ge 10.171 3.023 2.413
Ge 10.930 1.008 6.494
Ge 12.617 3.023 5.639
Ge 14.071 3.023 1.292
Ge 15.112 1.008 4.592
Ge 16.566 1.008 2.339
Ge 18.253 3.023 3.194
Ge 19.013 1.008 5.713
```

Principal peaks in the range 2θ from 10° to 90°, low angle first:
two_theta	intensity
23.90	33.0
26.31	32.6
27.47	26.5
31.86	26.0
32.80	35.8
34.81	97.1
35.03	49.2
36.38	100.0
44.98	46.5
49.82	29.9

***

Record 6
# Ac2CoGeIr
Calculated XRD peak list, Cu Kα (λ = 1.5418 Å). Input: a crystal structure in Alexandria, relaxed with GGA-PBE.

```
10
Lattice="4.281 0.000 0.000 0.000 4.281 0.000 0.000 0.000 13.950" Properties=species:S:1:pos:R:3 pbc="T T T"
Ac 1.070 1.070 1.425
Ac 1.070 1.070 9.375
Ac 3.211 3.211 4.575
Ac 3.211 3.211 12.525
Co 1.070 3.211 6.975
Co 3.211 1.070 6.975
Ge 1.070 1.070 5.825
Ge 3.211 3.211 8.125
Ir 1.070 1.070 12.291
Ir 3.211 3.211 1.659
```

Principal peaks in the range 2θ from 10° to 90°, low angle first:
two_theta	intensity
21.71	24.0
25.54	31.9
29.51	100.0
32.08	25.9
38.51	21.7
39.41	69.2
42.22	54.9
44.14	25.5
53.99	24.4
67.92	27.3

***

Record 7
# Ac2CoH6
Calculated XRD peak list, Cu Kα (λ = 1.5418 Å). Input: a crystal structure in Alexandria, relaxed with GGA-PBE.

```
9
Lattice="0.000 3.790 3.790 3.790 0.000 3.790 3.790 3.790 0.000" Properties=species:S:1:pos:R:3 pbc="T T T"
Ac 1.895 1.895 1.895
Ac 5.685 5.685 5.685
Co 0.000 0.000 0.000
H 3.790 3.790 1.678
H 3.790 1.678 3.790
H 5.902 3.790 3.790
H 1.678 3.790 3.790
H 3.790 5.902 3.790
H 3.790 3.790 5.902
```

Principal peaks in the range 2θ from 10° to 90°, low angle first:
two_theta	intensity
23.47	67.0
33.44	100.0
41.26	22.6
48.01	19.0
54.11	30.4
59.77	38.7
70.24	12.2
75.21	15.0
80.07	17.0
84.85	9.2

***

Record 8
# Ac3CoH
Calculated XRD peak list, Cu Kα (λ = 1.5418 Å). Input: a crystal structure in Alexandria, relaxed with GGA-PBE.

```
20
Lattice="7.034 0.000 0.000 -3.517 6.092 0.000 0.000 0.000 13.445" Properties=species:S:1:pos:R:3 pbc="T T T"
Ac -1.169 2.071 1.690
Ac -2.307 4.044 5.033
Ac 1.169 2.071 5.033
Ac -1.139 6.068 1.690
Ac 2.378 0.024 8.412
Ac 1.210 2.048 11.755
Ac 2.307 4.044 1.690
Ac 1.139 6.068 5.033
Ac 4.656 0.024 11.755
Ac 2.348 4.020 8.412
Ac 5.824 2.048 8.412
Ac 4.686 4.020 11.755
Co 0.000 0.000 3.361
Co 0.000 0.000 10.084
Co 0.000 4.061 3.361
Co 3.517 2.031 10.084
H 0.000 4.061 6.869
H 0.000 4.061 13.298
H 3.517 2.031 0.147
H 3.517 2.031 6.576
```

Principal peaks in the range 2θ from 10° to 90°, low angle first:
two_theta	intensity
25.32	14.4
26.52	21.7
28.65	100.0
36.99	24.2
44.62	24.2
48.15	24.9
52.66	20.8
53.89	17.8
72.48	14.8
73.09	11.4